Entry 1:
The following is a theoretical XRD peak list of Ba3Fe3Se7. It was derived from a structure optimized by DFT (GGA-PBE), using Cu Kα, 1.54184 Å.
Kinematic intensities with the Lorentz-polarization factor, no thermal factor.

Cell and atoms:
```
data_Ba3Fe3Se7
_chemical_formula_sum 'Ba6 Fe6 Se14'
_cell_length_a 11.0201
_cell_length_b 11.0201
_cell_length_c 7.3534
_cell_angle_alpha 90.00
_cell_angle_beta 90.00
_cell_angle_gamma 120.00
_symmetry_space_group_name_H-M 'P 63 m c'
_symmetry_Int_Tables_number 186
_symmetry_space_group_name_Hall 'P 6c -2c'
loop_
_atom_site_label
_atom_site_type_symbol
_atom_site_fract_x
_atom_site_fract_y
_atom_site_fract_z
_atom_site_occupancy
Ba1 Ba 0.1859 0.3719 0.0000 1
Fe1 Fe 0.2549 0.5097 0.4846 1
Se1 Se 0.0903 0.5452 0.3107 1
Se2 Se 0.1373 0.2746 0.5720 1
Se3 Se 0.3333 0.6667 0.7435 1
```

Principal peaks in the range 10° ≤ 2θ ≤ 80°, sorted by position:
| d/Å | two_theta | I/Imax |
| --- | --- | --- |
| 4.772 | 18.59 | 30 |
| 4.003 | 22.21 | 26 |
| 3.677 | 24.21 | 24 |
| 3.239 | 27.54 | 53 |
| 3.181 | 28.05 | 25 |
| 2.915 | 30.67 | 100 |
| 2.755 | 32.50 | 48 |
| 2.575 | 34.84 | 34 |
| 2.180 | 41.41 | 21 |
| 2.004 | 45.26 | 41 |

Entry 2:
The following is a theoretical XRD peak list of BaFe2Se3. It was derived from a structure optimized by DFT (GGA-PBE), using Cu Kα, 1.54184 Å.
Kinematic intensities with the Lorentz-polarization factor, no thermal factor.

Cell and atoms:
```
data_BaFe2Se3
_chemical_formula_sum 'Ba4 Fe8 Se12'
_cell_length_a 12.1604
_cell_length_b 5.4247
_cell_length_c 9.1989
_cell_angle_alpha 90.00
_cell_angle_beta 90.00
_cell_angle_gamma 90.00
_symmetry_space_group_name_H-M 'P n m a'
_symmetry_Int_Tables_number 62
loop_
_symmetry_equiv_pos_as_xyz
'x,y,z'
'-x,-y,-z'
'-x+1/2,-y,z+1/2'
'x+1/2,y,-z+1/2'
'x+1/2,-y+1/2,-z+1/2'
'-x+1/2,y+1/2,z+1/2'
'-x,y+1/2,-z'
'x,-y+1/2,z'
loop_
_atom_site_label
_atom_site_type_symbol
_atom_site_fract_x
_atom_site_fract_y
_atom_site_fract_z
_atom_site_occupancy
Ba1 Ba 0.1855 0.2500 0.0205 1
Fe1 Fe 0.0055 0.0001 0.3610 1
Se1 Se 0.0976 0.7500 0.8105 1
Se2 Se 0.1325 0.2500 0.5094 1
Se3 Se 0.1386 0.7500 0.2312 1
```

Principal peaks in the range 10° ≤ 2θ ≤ 80°, sorted by position:
| d/Å | two_theta | I/Imax |
| --- | --- | --- |
| 3.709 | 23.99 | 21 |
| 3.668 | 24.26 | 13 |
| 3.062 | 29.17 | 17 |
| 3.039 | 29.39 | 100 |
| 2.712 | 33.03 | 12 |
| 2.477 | 36.27 | 12 |
| 2.024 | 44.77 | 22 |
| 1.905 | 47.73 | 15 |
| 1.754 | 52.14 | 16 |
| 1.622 | 56.76 | 14 |

Copy entry 1 word for word.
The following is a theoretical XRD peak list of Ba3Fe3Se7. It was derived from a structure optimized by DFT (GGA-PBE), using Cu Kα, 1.54184 Å.
Kinematic intensities with the Lorentz-polarization factor, no thermal factor.

Cell and atoms:
```
data_Ba3Fe3Se7
_chemical_formula_sum 'Ba6 Fe6 Se14'
_cell_length_a 11.0201
_cell_length_b 11.0201
_cell_length_c 7.3534
_cell_angle_alpha 90.00
_cell_angle_beta 90.00
_cell_angle_gamma 120.00
_symmetry_space_group_name_H-M 'P 63 m c'
_symmetry_Int_Tables_number 186
_symmetry_space_group_name_Hall 'P 6c -2c'
loop_
_atom_site_label
_atom_site_type_symbol
_atom_site_fract_x
_atom_site_fract_y
_atom_site_fract_z
_atom_site_occupancy
Ba1 Ba 0.1859 0.3719 0.0000 1
Fe1 Fe 0.2549 0.5097 0.4846 1
Se1 Se 0.0903 0.5452 0.3107 1
Se2 Se 0.1373 0.2746 0.5720 1
Se3 Se 0.3333 0.6667 0.7435 1
```

Principal peaks in the range 10° ≤ 2θ ≤ 80°, sorted by position:
| d/Å | two_theta | I/Imax |
| --- | --- | --- |
| 4.772 | 18.59 | 30 |
| 4.003 | 22.21 | 26 |
| 3.677 | 24.21 | 24 |
| 3.239 | 27.54 | 53 |
| 3.181 | 28.05 | 25 |
| 2.915 | 30.67 | 100 |
| 2.755 | 32.50 | 48 |
| 2.575 | 34.84 | 34 |
| 2.180 | 41.41 | 21 |
| 2.004 | 45.26 | 41 |